Entry 1:
Mn3MoW: computed powder diffractogram (copper Kα), based on a GGA-PBE-relaxed structure.
Lines closer than 0.1° are merged.

Largest 8 diffraction maxima, by angle, 2θ from 15° to 90°:
29.33 deg, I = 100
36.13 deg, I = 49
41.96 deg, I = 76
52.02 deg, I = 41
60.84 deg, I = 49
68.96 deg, I = 18
72.85 deg, I = 17
84.11 deg, I = 22

Structure:
```
Mn3MoW
1.0
4.3063 0.0000 0.0000
0.0000 4.3063 0.0000
0.0000 0.0000 4.3063
Mn Mo W
3 1 1
direct
0.0000 0.0000 0.5000
0.0000 0.5000 0.0000
0.5000 0.0000 0.0000
0.0000 0.0000 0.0000
0.5000 0.5000 0.5000
```



Entry 2:
PmPaCo10: computed powder diffractogram (copper Kα), based on a GGA-PBE-relaxed structure.
Lines closer than 0.1° are merged.

Largest 8 diffraction maxima, by angle, 2θ from 15° to 90°:
30.70 deg, I = 100
36.66 deg, I = 34
42.51 deg, I = 22
42.75 deg, I = 35
43.27 deg, I = 98
43.44 deg, I = 51
45.24 deg, I = 40
70.83 deg, I = 22

Structure:
```
PmPaCo10
1.0
4.0089 0.0000 0.0000
0.0000 4.8765 0.0000
0.0000 0.0000 8.5056
Pm Pa Co
1 1 10
direct
0.0000 0.0000 0.0000
0.0000 0.5000 0.5000
0.0000 0.0000 0.3435
0.0000 0.0000 0.6565
0.0000 0.5000 0.1931
0.0000 0.5000 0.8069
0.5000 0.0000 0.5000
0.5000 0.2468 0.2501
0.5000 0.2468 0.7499
0.5000 0.5000 0.0000
0.5000 0.7532 0.2501
0.5000 0.7532 0.7499
```



Entry 3:
Rb3Sb2Br9: computed powder diffractogram (copper Kα), based on a GGA-PBE-relaxed structure.
Lines closer than 0.1° are merged.

Largest 8 diffraction maxima, by angle, 2θ from 15° to 90°:
15.65 deg, I = 28
22.20 deg, I = 20
27.27 deg, I = 78
31.60 deg, I = 100
45.29 deg, I = 71
53.68 deg, I = 34
56.27 deg, I = 24
75.00 deg, I = 30

Structure:
```
Rb3Sb2Br9
1.0
8.0054 0.0000 0.0000
-4.0027 6.9329 0.0000
0.0000 0.0000 9.8185
Rb Sb Br
3 2 9
direct
0.0000 0.0000 0.0000
0.3333 0.6667 0.6673
0.6667 0.3333 0.3327
0.3333 0.6667 0.1871
0.6667 0.3333 0.8129
0.0000 0.5000 0.0000
0.1708 0.3416 0.3368
0.1708 0.8292 0.3368
0.3416 0.1708 0.6632
0.5000 0.0000 0.0000
0.5000 0.5000 0.0000
0.6584 0.8292 0.3368
0.8292 0.1708 0.6632
0.8292 0.6584 0.6632
```



Entry 4:
BaB2Te2S6: computed powder diffractogram (copper Kα), based on a GGA-PBE-relaxed structure.
Lines closer than 0.1° are merged.

Largest 8 diffraction maxima, by angle, 2θ from 15° to 90°:
17.64 deg, I = 79
20.39 deg, I = 58
20.60 deg, I = 100
24.17 deg, I = 41
25.52 deg, I = 29
27.25 deg, I = 31
34.27 deg, I = 60
37.45 deg, I = 34

Structure:
```
BaB2Te2S6
1.0
5.0223 0.0000 0.0000
2.3239 5.0453 0.0000
0.9778 1.0491 13.0856
Ba B Te S
1 2 2 6
direct
0.0000 0.0000 0.0000
0.4353 0.1938 0.2072
0.5647 0.8062 0.7928
0.2998 0.0485 0.5897
0.7002 0.9515 0.4103
0.2997 0.1509 0.7744
0.3111 0.3433 0.0840
0.3384 0.3600 0.3273
0.6616 0.6400 0.6727
0.6889 0.6567 0.9160
0.7003 0.8491 0.2256
```



Entry 5:
La3GaSe6: computed powder diffractogram (copper Kα), based on a GGA-PBE-relaxed structure.
Lines closer than 0.1° are merged.

Largest 8 diffraction maxima, by angle, 2θ from 15° to 90°:
23.24 deg, I = 100
23.53 deg, I = 50
32.07 deg, I = 72
34.91 deg, I = 82
35.49 deg, I = 73
38.56 deg, I = 61
46.09 deg, I = 28
46.55 deg, I = 26

Structure:
```
La3GaSe6
1.0
5.8529 -7.2856 0.0000
5.8529 7.2856 0.0000
0.0000 0.0000 7.0278
La Ga Se
6 2 12
direct
0.1027 0.8973 0.5000
0.2156 0.4157 0.5805
0.4157 0.2156 0.0805
0.5843 0.7844 0.5805
0.7844 0.5843 0.0805
0.8973 0.1027 0.0000
0.3024 0.6976 0.1267
0.6976 0.3024 0.6267
0.0731 0.5979 0.2930
0.1363 0.1853 0.2910
0.1853 0.1363 0.7910
0.2835 0.7165 0.7814
0.4021 0.9269 0.2930
0.4599 0.5401 0.2629
0.5401 0.4599 0.7629
0.5979 0.0731 0.7930
0.7165 0.2835 0.2814
0.8147 0.8637 0.2910
0.8637 0.8147 0.7910
0.9269 0.4021 0.7930
```



Entry 6:
Cs2ErF6: computed powder diffractogram (copper Kα), based on a GGA-PBE-relaxed structure.
Lines closer than 0.1° are merged.

Largest 8 diffraction maxima, by angle, 2θ from 15° to 90°:
23.73 deg, I = 100
25.24 deg, I = 27
25.36 deg, I = 88
28.55 deg, I = 18
38.47 deg, I = 38
40.57 deg, I = 33
43.58 deg, I = 21
44.55 deg, I = 16

Structure:
```
Cs2ErF6
1.0
6.7932 -3.5279 0.0000
6.7932 3.5279 0.0000
-0.8655 0.0000 3.9711
Cs Er F
2 1 6
direct
0.1676 0.1676 0.1513
0.8324 0.8324 0.8487
0.5000 0.5000 0.5000
0.1729 0.5700 0.3795
0.3245 0.6755 0.0000
0.4300 0.8271 0.6205
0.5700 0.1729 0.3795
0.6755 0.3245 0.0000
0.8271 0.4300 0.6205
```



Entry 7:
Cs2NiI6Cl: computed powder diffractogram (copper Kα), based on a GGA-PBE-relaxed structure.
Lines closer than 0.1° are merged.

Largest 8 diffraction maxima, by angle, 2θ from 15° to 90°:
26.33 deg, I = 100
29.11 deg, I = 26
31.18 deg, I = 51
43.17 deg, I = 33
44.66 deg, I = 21
49.94 deg, I = 11
52.60 deg, I = 26
54.21 deg, I = 16

Structure:
```
Cs2NiI6Cl
1.0
-4.0573 4.0573 6.1356
4.0573 -4.0573 6.1356
4.0573 4.0573 -6.1356
Cs Ni I Cl
2 1 6 1
direct
0.2500 0.7500 0.5000
0.7500 0.2500 0.5000
0.0000 0.0000 0.0000
0.2113 0.2113 0.0000
0.2328 0.2328 0.4656
0.2328 0.7672 0.0000
0.7672 0.2328 0.0000
0.7672 0.7672 0.5344
0.7887 0.7887 0.0000
0.5000 0.5000 0.0000
```



Entry 8:
AcMg2AlAu2: computed powder diffractogram (copper Kα), based on a GGA-PBE-relaxed structure.
Lines closer than 0.1° are merged.

Largest 8 diffraction maxima, by angle, 2θ from 15° to 90°:
24.10 deg, I = 100
28.87 deg, I = 76
34.34 deg, I = 57
39.70 deg, I = 29
45.46 deg, I = 45
46.98 deg, I = 27
55.65 deg, I = 21
69.95 deg, I = 21

Structure:
```
AcMg2AlAu2
1.0
5.2229 0.0000 0.0000
0.0000 5.2229 0.0000
0.0000 0.0000 11.5148
Ac Mg Al Au
2 4 2 4
direct
0.0000 0.0000 0.0000
0.5000 0.5000 0.5000
0.0000 0.5000 0.2500
0.0000 0.5000 0.7500
0.5000 0.0000 0.2500
0.5000 0.0000 0.7500
0.0000 0.0000 0.5000
0.5000 0.5000 0.0000
0.0000 0.0000 0.2882
0.0000 0.0000 0.7118
0.5000 0.5000 0.2118
0.5000 0.5000 0.7882
```



Entry 9:
La3ErH8: computed powder diffractogram (copper Kα), based on a GGA-PBE-relaxed structure.
Lines closer than 0.1° are merged.

Largest 8 diffraction maxima, by angle, 2θ from 15° to 90°:
28.12 deg, I = 100
32.58 deg, I = 49
46.74 deg, I = 38
55.44 deg, I = 45
58.13 deg, I = 13
75.37 deg, I = 18
77.69 deg, I = 16
86.80 deg, I = 13

Structure:
```
La3ErH8
1.0
5.4969 0.0000 0.0000
0.0000 5.4969 0.0000
0.0000 0.0000 5.4969
La Er H
3 1 8
direct
0.0000 0.0000 0.5000
0.0000 0.5000 0.0000
0.5000 0.0000 0.0000
0.5000 0.5000 0.5000
0.2642 0.2642 0.2642
0.2642 0.2642 0.7358
0.2642 0.7358 0.2642
0.2642 0.7358 0.7358
0.7358 0.2642 0.2642
0.7358 0.2642 0.7358
0.7358 0.7358 0.2642
0.7358 0.7358 0.7358
```



Entry 10:
MgZn17In: computed powder diffractogram (copper Kα), based on a GGA-PBE-relaxed structure.
Lines closer than 0.1° are merged.

Largest 8 diffraction maxima, by angle, 2θ from 15° to 90°:
34.21 deg, I = 37
35.62 deg, I = 31
39.71 deg, I = 62
40.10 deg, I = 100
41.27 deg, I = 51
44.99 deg, I = 89
46.04 deg, I = 27
72.07 deg, I = 27

Structure:
```
MgZn17In
1.0
4.5394 2.6208 4.3784
-4.5394 2.6208 4.3784
0.0000 -5.2417 4.3784
Mg Zn In
1 17 1
direct
0.0000 0.0000 0.0000
0.0335 0.3360 0.6425
0.0335 0.6425 0.3360
0.1788 0.6901 0.6901
0.2362 0.2362 0.2362
0.3353 0.3353 0.8396
0.3353 0.8396 0.3353
0.3360 0.0335 0.6425
0.3360 0.6425 0.0335
0.4480 0.4480 0.4480
0.4929 0.9896 0.9896
0.6425 0.0335 0.3360
0.6425 0.3360 0.0335
0.6901 0.1788 0.6901
0.6901 0.6901 0.1788
0.8396 0.3353 0.3353
0.9896 0.4929 0.9896
0.9896 0.9896 0.4929
0.6963 0.6963 0.6963
```